Structure and calculated powder XRD pattern of TlAg3IrO4 (a GGA-PBE-relaxed structure; copper Kα).
Neutral-atom scattering factors, no anomalous dispersion.

Structure:
```
data_TlAg3IrO4
_chemical_formula_sum 'Tl1 Ag3 Ir1 O4'
_space_group_name_H-M_alt 'P -4 3 m'
_space_group_IT_number 215
_space_group_name_Hall 'P -4 2 3'
_cell_length_a 5.5098
_cell_length_b 5.5098
_cell_length_c 5.5098
_cell_angle_alpha 90.00
_cell_angle_beta 90.00
_cell_angle_gamma 90.00
loop_
_atom_site_label
_atom_site_fract_x
_atom_site_fract_y
_atom_site_fract_z
_atom_site_occupancy
Tl1 0.0000 0.0000 0.0000 1
Ag1 0.0000 0.5000 0.5000 1
Ir1 0.5000 0.5000 0.5000 1
O1 0.2766 0.2766 0.2766 1
```

Most intense lines, 2θ = 15–90°, in order of rising 2θ:
- 2θ = 22.83°, I 83, hkl 1 1 0
- 2θ = 28.05°, I 56, hkl 1 1 1
- 2θ = 32.50°, I 99, hkl 2 0 0
- 2θ = 40.09°, I 39, hkl 2 1 1
- 2θ = 46.62°, I 100, hkl 2 2 0
- 2θ = 57.98°, I 26, hkl 2 2 2
- 2θ = 77.47°, I 35, hkl 4 2 0
- 2θ = 86.54°, I 32, hkl 4 2 2